[1]
Tm4TlSn: theoretical XRD peak list (λ = 1.5418 Å (Cu Kα)), based on a structure optimized by DFT (PBE).

The 12 most intense peaks (10 to 90 degrees two-theta), by angle:
- 16.99 deg, rel. 40
- 29.06 deg, rel. 35
- 32.52 deg, rel. 26
- 33.32 deg, rel. 72
- 33.62 deg, rel. 100
- 34.90 deg, rel. 81
- 38.83 deg, rel. 41
- 44.78 deg, rel. 22
- 59.73 deg, rel. 20
- 60.56 deg, rel. 19
- 68.07 deg, rel. 19
- 68.25 deg, rel. 26

```
12
Lattice="2.690 -10.741 0.000 2.690 10.741 0.000 0.000 0.000 6.415" Properties=species:S:1:pos:R:3 pbc="T T T"
Tm 2.690 9.367 4.811
Tm 2.690 6.341 3.239
Tm 2.690 6.341 6.382
Tm 2.690 2.906 4.811
Tm 2.690 -2.906 1.604
Tm 2.690 -6.341 0.032
Tm 2.690 -6.341 3.175
Tm 2.690 -9.367 1.604
Tl 2.690 9.150 1.604
Tl 2.690 -9.150 4.811
Sn 2.690 3.442 1.604
Sn 2.690 -3.442 4.811
```

[2]
In2Se: theoretical XRD peak list (λ = 1.5418 Å (Cu Kα)), based on a structure optimized by DFT (PBE).

The 12 most intense peaks (10 to 90 degrees two-theta), by angle:
- 27.53 deg, rel. 16
- 32.94 deg, rel. 16
- 33.27 deg, rel. 100
- 33.61 deg, rel. 28
- 45.64 deg, rel. 7
- 47.76 deg, rel. 25
- 57.85 deg, rel. 7
- 59.24 deg, rel. 9
- 59.66 deg, rel. 10
- 59.88 deg, rel. 18
- 69.86 deg, rel. 9
- 79.60 deg, rel. 10

```
6
Lattice="1.904 -8.157 0.000 1.904 8.157 0.000 0.000 0.000 5.334" Properties=species:S:1:pos:R:3 pbc="T T T"
In 1.904 6.953 4.000
In 1.904 4.587 1.333
In 1.904 -4.587 4.000
In 1.904 -6.953 1.333
Se 1.904 1.430 4.000
Se 1.904 -1.430 1.333
```

[3]
Ti3Be2Co5: theoretical XRD peak list (λ = 1.5418 Å (Cu Kα)), based on a structure optimized by DFT (PBE).

The 12 most intense peaks (10 to 90 degrees two-theta), by angle:
- 29.06 deg, rel. 21
- 37.48 deg, rel. 58
- 37.74 deg, rel. 20
- 41.81 deg, rel. 30
- 43.41 deg, rel. 63
- 44.51 deg, rel. 100
- 47.30 deg, rel. 32
- 48.33 deg, rel. 34
- 60.24 deg, rel. 20
- 77.13 deg, rel. 20
- 77.63 deg, rel. 13
- 86.02 deg, rel. 19

```
20
Lattice="8.594 0.000 0.000 0.000 8.594 0.000 0.000 0.000 3.072" Properties=species:S:1:pos:R:3 pbc="T T T"
Ti 0.000 0.000 0.000
Ti 1.494 2.803 0.000
Ti 2.803 7.100 0.000
Ti 4.297 4.297 0.000
Ti 5.791 1.494 0.000
Ti 7.100 5.791 0.000
Be 1.036 5.333 0.000
Be 3.261 1.036 0.000
Be 5.333 7.558 0.000
Be 7.558 3.261 0.000
Co 0.000 4.297 1.536
Co 0.607 6.761 1.536
Co 1.833 0.607 1.536
Co 2.464 4.904 1.536
Co 3.690 2.464 1.536
Co 4.297 0.000 1.536
Co 4.904 6.130 1.536
Co 6.130 3.690 1.536
Co 6.761 7.987 1.536
Co 7.987 1.833 1.536
```

[4]
La8Ni3GeI4: theoretical XRD peak list (λ = 1.5418 Å (Cu Kα)), based on a structure optimized by DFT (PBE).

The 12 most intense peaks (10 to 90 degrees two-theta), by angle:
- 27.88 deg, rel. 56
- 28.33 deg, rel. 100
- 30.12 deg, rel. 13
- 30.44 deg, rel. 19
- 33.36 deg, rel. 16
- 38.24 deg, rel. 13
- 38.47 deg, rel. 30
- 41.82 deg, rel. 41
- 42.66 deg, rel. 19
- 51.74 deg, rel. 20
- 55.35 deg, rel. 9
- 67.78 deg, rel. 9

```
16
Lattice="7.532 -4.239 0.000 7.532 4.239 0.000 -4.999 0.000 8.057" Properties=species:S:1:pos:R:3 pbc="T T T"
La 3.792 2.216 5.587
La 0.099 0.000 5.534
La 6.273 2.216 2.470
La 2.417 0.000 2.500
La 7.647 0.000 5.557
La 3.792 -2.216 5.587
La 9.966 0.000 2.523
La 6.273 -2.216 2.470
Ni -2.499 0.000 4.029
Ni 1.266 2.119 4.029
Ni 1.266 -2.119 4.029
Ge 5.032 0.000 4.029
I 0.000 0.000 0.000
I 3.766 2.119 0.000
I 3.766 -2.119 0.000
I 7.532 0.000 0.000
```

[5]
Mg4InHPb: theoretical XRD peak list (λ = 1.5418 Å (Cu Kα)), based on a structure optimized by DFT (PBE).

The 12 most intense peaks (10 to 90 degrees two-theta), by angle:
- 20.83 deg, rel. 93
- 23.68 deg, rel. 42
- 26.81 deg, rel. 100
- 28.25 deg, rel. 40
- 28.51 deg, rel. 39
- 37.19 deg, rel. 52
- 37.39 deg, rel. 51
- 40.57 deg, rel. 53
- 46.22 deg, rel. 20
- 47.00 deg, rel. 31
- 47.51 deg, rel. 27
- 55.24 deg, rel. 23

```
14
Lattice="3.159 -7.514 0.000 3.159 7.514 0.000 0.000 0.000 6.262" Properties=species:S:1:pos:R:3 pbc="T T T"
Mg 1.579 3.757 0.000
Mg 1.579 3.757 3.131
Mg 3.159 6.242 4.697
Mg 3.159 1.404 4.697
Mg 1.579 -3.757 0.000
Mg 1.579 -3.757 3.131
Mg 3.159 -1.404 1.566
Mg 3.159 -6.242 1.566
In 3.159 5.871 1.566
In 3.159 -5.871 4.697
H 3.159 3.583 4.697
H 3.159 -3.583 1.566
Pb 3.159 1.592 1.566
Pb 3.159 -1.592 4.697
```

[6]
Tb2PmHo2Sc2: theoretical XRD peak list (λ = 1.5418 Å (Cu Kα)), based on a structure optimized by DFT (PBE).

The 12 most intense peaks (10 to 90 degrees two-theta), by angle:
- 16.82 deg, rel. 15
- 20.20 deg, rel. 20
- 31.95 deg, rel. 100
- 32.35 deg, rel. 87
- 32.88 deg, rel. 52
- 33.05 deg, rel. 43
- 44.88 deg, rel. 16
- 47.32 deg, rel. 38
- 56.85 deg, rel. 16
- 58.34 deg, rel. 18
- 58.61 deg, rel. 37
- 64.02 deg, rel. 24

```
7
Lattice="-1.710 2.710 11.265 1.710 -2.710 11.265 1.710 2.710 -11.265" Properties=species:S:1:pos:R:3 pbc="T T T"
Tb 0.000 0.000 1.639
Tb 0.000 0.000 20.890
Pm 0.000 0.000 11.265
Ho 1.710 0.000 4.690
Ho 0.000 2.710 6.575
Sc 1.710 0.000 7.993
Sc 0.000 2.710 3.272
```